Computed X-ray diffraction stick pattern of KOs3Pb5 for Cu Ka, from DFT lattice parameters and positions (PBE).

Top 8 peaks for 2θ = 10–90°, in order of rising 2θ:
| hkl | 2θ (°) | intensity |
| --- | --- | --- |
| 1 0 0 | 18.07 | 33 |
| 1 0 2 | 26.63 | 48 |
| 1 1 0 | 31.57 | 56 |
| 1 1 2 | 37.32 | 53 |
| 2 0 1 | 37.95 | 51 |
| 0 0 4 | 39.39 | 33 |
| 2 0 2 | 41.76 | 100 |
| 2 2 4 | 79.57 | 27 |

Cell and atoms:
```
data_KOs3Pb5
_cell_length_a 5.6685
_cell_length_b 5.6685
_cell_length_c 9.1503
_cell_angle_alpha 90.00
_cell_angle_beta 90.00
_cell_angle_gamma 120.00
_space_group_name_H-M_alt 'P 6/m m m'
_space_group_IT_number 191
_space_group_name_Hall '-P 6 2'
loop_
_atom_site_label
_atom_site_type_symbol
_atom_site_fract_x
_atom_site_fract_y
_atom_site_fract_z
K1 K 0.0000 0.0000 0.0000
Os1 Os 0.0000 0.5000 0.5000
Pb1 Pb 0.0000 0.0000 0.5000
Pb2 Pb 0.3333 0.6667 0.2367
```